Record 1
For Ac3Lu, a crystal structure in Alexandria, relaxed with PBE gives the calculated powder diffractogram in this record (λ = 1.5418 Å (Cu Kα)).

Structural model:
Lattice parameters (Å, degrees): 5.4679 5.4679 10.8849 90.00 90.00 90.00
Positions (direct):
1 Ac 0.0000 0.0000 0.0000
2 Ac 0.0000 0.5000 0.2500
3 Ac 0.0000 0.5000 0.7500
4 Ac 0.5000 0.0000 0.2500
5 Ac 0.5000 0.0000 0.7500
6 Ac 0.5000 0.5000 0.5000
7 Lu 0.0000 0.0000 0.5000
8 Lu 0.5000 0.5000 0.0000

Top 6 peaks for 15° ≤ 2θ ≤ 90°, most intense first:
d (Å)	2θ/deg	I/Imax
3.152	28.3	100.0
2.734	32.8	34.4
1.648	55.8	31.3
1.929	47.1	25.6
2.721	32.9	17.0
1.642	56.0	15.5



Record 2
For Rb2Ga4Ir, a crystal structure in Alexandria, relaxed with PBE gives the calculated powder diffractogram in this record (λ = 1.5418 Å (Cu Kα)).

Structural model:
Lattice parameters (Å, degrees): 4.8592 4.8592 19.1056 90.00 90.00 90.00
Positions (direct):
1 Rb 0.0000 0.0000 0.1702
2 Rb 0.0000 0.0000 0.8298
3 Rb 0.5000 0.5000 0.3298
4 Rb 0.5000 0.5000 0.6702
5 Ga 0.0000 0.0000 0.3704
6 Ga 0.0000 0.0000 0.6296
7 Ga 0.0000 0.5000 0.0000
8 Ga 0.0000 0.5000 0.5000
9 Ga 0.5000 0.0000 0.0000
10 Ga 0.5000 0.0000 0.5000
11 Ga 0.5000 0.5000 0.1296
12 Ga 0.5000 0.5000 0.8704
13 Ir 0.0000 0.0000 0.5000
14 Ir 0.5000 0.5000 0.0000

Top 6 peaks for 15° ≤ 2θ ≤ 90°, most intense first:
d (Å)	2θ/deg	I/Imax
4.709	18.8	100.0
2.430	37.0	94.1
3.863	23.0	92.2
3.436	25.9	72.9
3.184	28.0	65.0
1.932	47.0	62.3



Question: What is the formula in the second record?
Answer: Rb2Ga4Ir